# NaSrLaWO6
Simulated powder X-ray diffraction pattern, Cu Kα, 1.54184 Å. Input: the PBE+U geometry in the Materials Project.

Structural model:
```
data_NaSrLaWO6
_space_group_name_H-M_alt 'P n n n'
_space_group_IT_number 48
_cell_length_a 8.471
_cell_length_b 8.475
_cell_length_c 8.513
_cell_angle_alpha 90.00
_cell_angle_beta 90.00
_cell_angle_gamma 90.00
loop_
_space_group_symop_operation_xyz
'x,y,z'
'-x,-y,-z'
'-x+1/2,-y+1/2,z'
'x+1/2,y+1/2,-z'
'x,-y+1/2,-z+1/2'
'-x,y+1/2,z+1/2'
'-x+1/2,y,-z+1/2'
'x+1/2,-y,z+1/2'
loop_
_atom_site_label
_atom_site_type_symbol
_atom_site_fract_x
_atom_site_fract_y
_atom_site_fract_z
Na1 Na 0.250 0.250 0.250
Na2 Na 0.250 0.750 0.750
Sr1 Sr 0.250 0.250 0.750
Sr2 Sr 0.250 0.750 0.250
La1 La 0.000 0.000 0.000
W1 W 0.000 0.000 0.500
O1 O 0.037 0.226 0.542
O2 O 0.043 0.537 0.777
O3 O 0.225 0.532 0.047
```

Peak list (10 most intense, 2θ from 10° to 80°, by angle)
- hkl 0 2 0, 20.92 deg, rel. 27
- hkl 2 0 0, 20.98 deg, rel. 13
- hkl 2 0 2, 29.78 deg, rel. 100
- hkl 0 0 4, 42.47 deg, rel. 9
- hkl 0 4 0, 42.68 deg, rel. 19
- hkl 4 0 2, 48.00 deg, rel. 11
- hkl 2 2 4, 52.76 deg, rel. 15
- hkl 4 2 2, 52.90 deg, rel. 30
- hkl 0 4 4, 61.79 deg, rel. 11
- hkl 6 0 2, 70.24 deg, rel. 12

# NaSrLaWO6
Simulated powder X-ray diffraction pattern, Cu Kα, 1.54184 Å. Input: the PBE+U geometry in the Materials Project.

Structural model:
```
data_NaSrLaWO6
_space_group_name_H-M_alt 'F -4 3 m'
_space_group_IT_number 216
_space_group_name_Hall 'F -4 2 3'
_cell_length_a 8.176
_cell_length_b 8.176
_cell_length_c 8.176
_cell_angle_alpha 90.00
_cell_angle_beta 90.00
_cell_angle_gamma 90.00
loop_
_atom_site_label
_atom_site_type_symbol
_atom_site_fract_x
_atom_site_fract_y
_atom_site_fract_z
Na1 Na 0.000 0.000 0.000
Sr1 Sr 0.250 0.250 0.250
La1 La 0.250 0.250 0.750
W1 W 0.000 0.000 0.500
O1 O 0.000 0.000 0.263
```

Peak list (10 most intense, 2θ from 10° to 80°, by angle)
- hkl 1 1 1, 18.80 deg, rel. 42
- hkl 2 2 0, 30.94 deg, rel. 100
- hkl 3 1 1, 36.45 deg, rel. 21
- hkl 4 0 0, 44.32 deg, rel. 32
- hkl 3 3 1, 48.54 deg, rel. 9
- hkl 4 2 2, 55.02 deg, rel. 40
- hkl 5 1 1, 58.68 deg, rel. 8
- hkl 4 4 0, 64.47 deg, rel. 20
- hkl 5 3 1, 67.81 deg, rel. 8
- hkl 6 2 0, 73.22 deg, rel. 18

# NaSrLaWO6
Simulated powder X-ray diffraction pattern, Cu Kα, 1.54184 Å. Input: the PBE+U geometry in the Materials Project.

Structural model:
```
data_NaSrLaWO6
_space_group_name_H-M_alt 'F -4 3 m'
_space_group_IT_number 216
_space_group_name_Hall 'F -4 2 3'
_cell_length_a 8.594
_cell_length_b 8.594
_cell_length_c 8.594
_cell_angle_alpha 90.00
_cell_angle_beta 90.00
_cell_angle_gamma 90.00
loop_
_atom_site_label
_atom_site_type_symbol
_atom_site_fract_x
_atom_site_fract_y
_atom_site_fract_z
Na1 Na 0.000 0.000 0.000
Sr1 Sr 0.000 0.000 0.500
La1 La 0.250 0.250 0.250
W1 W 0.250 0.250 0.750
O1 O 0.023 0.250 0.750
```

Peak list (10 most intense, 2θ from 10° to 80°, by angle)
- hkl 1 1 1, 17.88 deg, rel. 10
- hkl 2 0 0, 20.67 deg, rel. 44
- hkl 2 2 0, 29.39 deg, rel. 100
- hkl 4 0 0, 42.05 deg, rel. 32
- hkl 4 2 0, 47.30 deg, rel. 18
- hkl 4 2 2, 52.14 deg, rel. 41
- hkl 4 4 0, 60.98 deg, rel. 20
- hkl 6 0 0, 65.12 deg, rel. 9
- hkl 6 2 0, 69.13 deg, rel. 19
- hkl 4 4 4, 76.85 deg, rel. 6

# NaLaZrVO6
Simulated powder X-ray diffraction pattern, Cu Kα, 1.54184 Å. Input: the PBE+U geometry in the Materials Project.

Structural model:
```
data_NaLaZrVO6
_space_group_name_H-M_alt 'F -4 3 m'
_space_group_IT_number 216
_space_group_name_Hall 'F -4 2 3'
_cell_length_a 8.013
_cell_length_b 8.013
_cell_length_c 8.013
_cell_angle_alpha 90.00
_cell_angle_beta 90.00
_cell_angle_gamma 90.00
loop_
_atom_site_label
_atom_site_type_symbol
_atom_site_fract_x
_atom_site_fract_y
_atom_site_fract_z
Na1 Na 0.000 0.000 0.000
La1 La 0.000 0.000 0.500
Zr1 Zr 0.250 0.250 0.750
V1 V 0.250 0.250 0.250
O1 O 0.009 0.250 0.250
```

Peak list (10 most intense, 2θ from 10° to 80°, by angle)
- hkl 1 1 1, 19.18 deg, rel. 43
- hkl 2 2 0, 31.58 deg, rel. 100
- hkl 3 1 1, 37.21 deg, rel. 25
- hkl 4 0 0, 45.27 deg, rel. 38
- hkl 3 3 1, 49.59 deg, rel. 12
- hkl 4 2 2, 56.24 deg, rel. 38
- hkl 3 3 3, 59.99 deg, rel. 8
- hkl 4 4 0, 65.94 deg, rel. 22
- hkl 5 3 1, 69.38 deg, rel. 8
- hkl 6 2 0, 74.96 deg, rel. 16

# NaLaW2O8
Simulated powder X-ray diffraction pattern, Cu Kα, 1.54184 Å. Input: the PBE+U geometry in the Materials Project.

Structural model:
```
data_NaLaW2O8
_space_group_name_H-M_alt 'I -4'
_space_group_IT_number 82
_space_group_name_Hall 'I -4'
_cell_length_a 5.434
_cell_length_b 5.434
_cell_length_c 11.741
_cell_angle_alpha 90.00
_cell_angle_beta 90.00
_cell_angle_gamma 90.00
loop_
_atom_site_label
_atom_site_type_symbol
_atom_site_fract_x
_atom_site_fract_y
_atom_site_fract_z
Na1 Na 0.000 0.000 0.000
La1 La 0.000 0.500 0.750
W1 W 0.000 0.000 0.500
W2 W 0.000 0.500 0.250
O1 O 0.143 0.238 0.587
O2 O 0.152 0.741 0.167
```

Peak list (10 most intense, 2θ from 10° to 80°, by angle)
- hkl 1 0 1, 17.99 deg, rel. 32
- hkl 1 1 2, 27.75 deg, rel. 100
- hkl 0 0 4, 30.45 deg, rel. 14
- hkl 2 0 0, 32.97 deg, rel. 22
- hkl 2 0 4, 45.49 deg, rel. 30
- hkl 2 2 0, 47.31 deg, rel. 13
- hkl 1 1 6, 52.48 deg, rel. 17
- hkl 1 3 2, 55.74 deg, rel. 28
- hkl 2 2 4, 57.32 deg, rel. 12
- hkl 3 1 6, 73.32 deg, rel. 20